Diffraction record for PrHgP. The powder diffractogram is simulated, not measured: it uses a cell relaxed with PBE and Cu Kα.
Neutral-atom scattering factors, no anomalous dispersion.

Main lines, most intense first (10° ≤ 2θ ≤ 80°):
(0 1 5), 27.18°, d 3.281, intensity 100
(1 1 0), 36.62°, d 2.454, intensity 89
(1 1 9), 48.85°, d 1.864, intensity 59
(0 0 3), 10.29°, d 8.599, intensity 51
(1 0 4), 25.09°, d 3.549, intensity 38
(0 0 9), 31.20°, d 2.866, intensity 34
(0 1 2), 22.02°, d 4.037, intensity 34
(2 0 5), 46.20°, d 1.965, intensity 25
(1 2 5), 60.34°, d 1.534, intensity 22
(0 1 14), 54.26°, d 1.691, intensity 21

Cell and atoms:
Unit cell a=4.9082 b=4.9082 c=25.7973 alpha=90.00 beta=90.00 gamma=120.00
Space group R-3m (No. 166, hexagonal axes)
Asymmetric unit:
Pr1 0.0000 0.0000 0.1062 x6
Hg1 0.0000 0.0000 0.3214 x6
P1 0.0000 0.0000 0.2156 x6